Entry 1:
# SrEr2S4
Simulated X-ray powder pattern, Cu Ka. Input: the PBE geometry in Alexandria.
Peak positions follow from Bragg's law for the DFT cell and can differ from measured ones.

Main lines, in order of rising 2θ (2θ = 10–90°):
2θ = 13.2°, I = 27; 2θ = 24.2°, I = 100; 2θ = 30.7°, I = 32; 2θ = 31.4°, I = 39; 2θ = 33.5°, I = 49; 2θ = 41.3°, I = 32; 2θ = 46.0°, I = 35; 2θ = 46.6°, I = 27; 2θ = 46.7°, I = 25; 2θ = 52.6°, I = 25

Structure:
```
data_SrEr2S4
_cell_length_a 3.9478
_cell_length_b 12.9602
_cell_length_c 13.3847
_cell_angle_alpha 90.00
_cell_angle_beta 90.00
_cell_angle_gamma 90.00
_symmetry_space_group_name_H-M 'C m c m'
_symmetry_Int_Tables_number 63
_symmetry_space_group_name_Hall '-C 2c 2'
loop_
_atom_site_label
_atom_site_type_symbol
_atom_site_fract_x
_atom_site_fract_y
_atom_site_fract_z
_atom_site_occupancy
Sr1 Sr 0.0000 0.1118 0.2500 1
Er1 Er 0.0000 0.3658 0.0690 1
S1 S 0.0000 0.0000 0.0000 1
S2 S 0.0000 0.2691 0.6136 1
S3 S 0.0000 0.4467 0.2500 1
```

***

Entry 2:
# SrEr2US8
Simulated X-ray powder pattern, Cu Ka. Input: the PBE geometry in Alexandria.
Peak positions follow from Bragg's law for the DFT cell and can differ from measured ones.

Main lines, in order of rising 2θ (2θ = 10–90°):
2θ = 10.6°, I = 37; 2θ = 20.5°, I = 84; 2θ = 20.9°, I = 67; 2θ = 25.1°, I = 54; 2θ = 26.5°, I = 42; 2θ = 26.7°, I = 100; 2θ = 37.8°, I = 36; 2θ = 38.2°, I = 38; 2θ = 41.4°, I = 21; 2θ = 45.9°, I = 32

Structure:
```
data_SrEr2US8
_cell_length_a 5.5612
_cell_length_b 6.7336
_cell_length_c 8.3472
_cell_angle_alpha 90.00
_cell_angle_beta 90.17
_cell_angle_gamma 90.98
_symmetry_space_group_name_H-M 'P -1'
_symmetry_Int_Tables_number 2
loop_
_symmetry_equiv_pos_as_xyz
'x,y,z'
'-x,-y,-z'
loop_
_atom_site_label
_atom_site_type_symbol
_atom_site_fract_x
_atom_site_fract_y
_atom_site_fract_z
_atom_site_occupancy
Sr1 Sr 0.0000 0.0000 0.0000 1
Er1 Er 0.4991 0.4999 0.7293 1
U1 U 0.0000 0.0000 0.5000 1
S1 S 0.1760 0.5655 0.0000 1
S2 S 0.2435 0.6661 0.4991 1
S3 S 0.2566 0.1510 0.2805 1
S4 S 0.2584 0.1493 0.7208 1
```

***

Entry 3:
# Sr3Er3ZnS8
Simulated X-ray powder pattern, Cu Ka. Input: the PBE geometry in Alexandria.
Peak positions follow from Bragg's law for the DFT cell and can differ from measured ones.

Main lines, in order of rising 2θ (2θ = 10–90°):
2θ = 13.0°, I = 29; 2θ = 15.6°, I = 15; 2θ = 26.2°, I = 15; 2θ = 27.5°, I = 37; 2θ = 31.4°, I = 100; 2θ = 44.2°, I = 36; 2θ = 45.9°, I = 34; 2θ = 56.7°, I = 18; 2θ = 73.4°, I = 14; 2θ = 75.8°, I = 15

Structure:
```
data_Sr3Er3ZnS8
_cell_length_a 7.9132
_cell_length_b 7.9132
_cell_length_c 20.4271
_cell_angle_alpha 90.00
_cell_angle_beta 90.00
_cell_angle_gamma 120.00
_symmetry_space_group_name_H-M 'R -3 m'
_symmetry_Int_Tables_number 166
_symmetry_space_group_name_Hall '-R 3 2"'
loop_
_atom_site_label
_atom_site_type_symbol
_atom_site_fract_x
_atom_site_fract_y
_atom_site_fract_z
_atom_site_occupancy
Sr1 Sr 0.0000 0.5000 0.0000 1
Er1 Er 0.0000 0.5000 0.5000 1
Zn1 Zn 0.0000 0.0000 0.5000 1
S1 S 0.0000 0.0000 0.2420 1
S2 S 0.0081 0.5040 0.2381 1
```